# 1
Simulated powder diffraction line list
Compound: Fe5O3F7
Radiation: Cu Kα (weighted mean of Kα1 and Kα2)
Structure: a DFT-relaxed cell (PBE+U, the Materials Project)

Main lines, low angle first (2θ = 10–90°):
hkl 0 2 0, 26.0°, I 100; hkl 2 0 0, 26.6°, I 93; hkl 1 1 -5, 34.1°, I 52; hkl 1 1 5, 34.2°, I 54; hkl 1 3 -5, 51.2°, I 31; hkl 1 3 5, 51.3°, I 32

Crystal structure
abc: 6.7018 6.8666 15.6822
angles: 90.00 90.44 90.00
Space group C2 (No. 5)
Asymmetric unit:
Fe  0.0000  0.0000  0.0000 x2
Fe  0.0000  0.4720  0.5000 x2
Fe  0.0032  0.4748  0.3008 x4
Fe  0.0060  0.4510  0.8952 x4
Fe  0.0335  0.9836  0.1940 x4
Fe  0.0344  0.9709  0.6008 x4
O  0.0049  0.1561  0.0995 x4
O  0.1684  0.4723  0.4002 x4
O  0.1896  0.4710  0.7896 x4
F  0.0000  0.1766  0.5000 x2
F  0.0000  0.7663  0.5000 x2
F  0.0007  0.7747  0.2950 x4
F  0.0015  0.1711  0.2964 x4
F  0.0073  0.7735  0.0989 x4
F  0.2025  0.4665  0.0026 x4
F  0.2124  0.4722  0.5982 x4
F  0.2167  0.4707  0.2092 x4



# 2
Simulated powder diffraction line list
Compound: Fe2O3F
Radiation: Cu Kα (weighted mean of Kα1 and Kα2)
Structure: a DFT-relaxed cell (PBE+U, the Materials Project)

Main lines, low angle first (2θ = 10–90°):
hkl 0 1 1, 20.7°, I 100; hkl 0 1 3, 33.1°, I 49; hkl 1 0 2, 34.9°, I 25; hkl 1 1 1, 36.5°, I 37; hkl 1 2 2, 52.4°, I 35; hkl 1 1 5, 59.1°, I 24

Crystal structure
abc: 3.0118 4.7496 9.9001
angles: 90.00 90.00 90.00
Space group Pmc2_1 (No. 26)
Asymmetric unit:
Fe  0.0000  0.2205  0.0000 x2
Fe  0.5000  0.2756  0.7140 x2
O  0.0000  0.0736  0.6392 x2
O  0.5000  0.0762  0.8946 x2
O  0.5000  0.4342  0.0727 x2
F  0.0000  0.5002  0.3120 x2



# 3
Simulated powder diffraction line list
Compound: Fe5O8F2
Radiation: Cu Kα (weighted mean of Kα1 and Kα2)
Structure: a DFT-relaxed cell (PBE+U, the Materials Project)

Main lines, low angle first (2θ = 10–90°):
hkl 1 1 0, 26.7°, I 100; hkl 1 -1 0, 27.5°, I 98; hkl 1 0 5, 35.4°, I 52; hkl 1 0 -5, 35.6°, I 51; hkl 2 1 5, 52.8°, I 29; hkl 2 1 -5, 53.3°, I 29

Crystal structure
abc: 4.6567 4.6567 15.0692
angles: 89.60 89.60 88.39
Space group P1 (No. 1)
Asymmetric unit:
Fe  0.0000  0.0000  0.0000 x1
Fe  0.0028  0.0072  0.7975 x1
Fe  0.0097  0.0100  0.2050 x1
Fe  0.0154  0.0200  0.4086 x1
Fe  0.0319  0.9907  0.6029 x1
Fe  0.4850  0.4869  0.3025 x1
Fe  0.5030  0.5133  0.7067 x1
Fe  0.5095  0.5201  0.4994 x1
Fe  0.5315  0.5328  0.9033 x1
Fe  0.5353  0.5344  0.1030 x1
O  0.1884  0.1918  0.3041 x1
O  0.2034  0.1961  0.7011 x1
O  0.2104  0.2008  0.5081 x1
O  0.3094  0.7013  0.3998 x1
O  0.3132  0.7040  0.2037 x1
O  0.3190  0.7094  0.8068 x1
O  0.3261  0.7143  0.0013 x1
O  0.3323  0.6911  0.6029 x1
O  0.6977  0.3162  0.4021 x1
O  0.7037  0.3144  0.2039 x1
O  0.7042  0.3224  0.8045 x1
O  0.7137  0.3265  0.0009 x1
O  0.8222  0.8122  0.6981 x1
O  0.8254  0.8187  0.5056 x1
O  0.8263  0.8297  0.8984 x1
O  0.8301  0.8298  0.1049 x1
F  0.2108  0.2145  0.9015 x1
F  0.2153  0.2143  0.1007 x1
F  0.7131  0.3104  0.6032 x1
F  0.8043  0.8091  0.3057 x1